Structure and computed XRD peak list of KCdRhF6 (DFT lattice parameters and positions (PBE); CuKα).

Structural model:
Lattice parameters (Å, degrees): 7.589 7.624 11.016 90.00 90.00 90.00
Space group Imma (No. 74)
Unique sites:
K 0.000 0.250 0.102 [4 per cell]
Cd 0.250 0.250 0.750 [4 per cell]
Rh 0.000 0.000 0.500 [4 per cell]
F 0.000 0.250 0.442 [4 per cell]
F 0.000 0.250 0.853 [4 per cell]
F 0.194 0.022 0.623 [16 per cell]

Peak list (10 most intense, 10° ≤ 2θ ≤ 80°, most intense first)
- 14.15°, I = 100
- 28.53°, I = 87
- 27.44°, I = 82
- 47.24°, I = 44
- 26.96°, I = 42
- 56.56°, I = 14
- 47.72°, I = 13
- 55.58°, I = 13
- 43.68°, I = 11
- 43.44°, I = 10